Entry 1:
Starting from a GGA-PBE-relaxed structure, the PXRD pattern of Np2BeTlO8 was simulated for a wavelength of 1.5418 Å.
Neutral-atom scattering factors, no anomalous dispersion.

Crystal structure
```
Np2BeTlO8
1.0
3.3966 -3.6843 0.0000
3.3966 3.6843 0.0000
-0.8027 0.0000 6.7351
Np Be Tl O
2 1 1 8
direct
0.0206 0.0206 0.2590 Np
0.9794 0.9794 0.7410 Np
0.5000 0.5000 0.5000 Be
0.5000 0.5000 0.0000 Tl
0.1745 0.8255 0.0000 O
0.1743 0.8257 0.5000 O
0.2818 0.2818 0.7559 O
0.3320 0.3320 0.3188 O
0.6680 0.6680 0.6812 O
0.7182 0.7182 0.2441 O
0.8255 0.1745 0.0000 O
0.8257 0.1743 0.5000 O
```

Principal peaks in the range 2θ = 10–80°, in order of rising 2θ:
d = 4.976 Å, rel. 55; d = 3.845 Å, rel. 32; d = 3.684 Å, rel. 100; d = 3.372 Å, rel. 84; d = 2.909 Å, rel. 93; d = 2.682 Å, rel. 61; d = 2.487 Å, rel. 65; d = 1.941 Å, rel. 39; d = 1.914 Å, rel. 36; d = 1.532 Å, rel. 32


Entry 2:
Starting from a GGA-PBE-relaxed structure, the PXRD pattern of Pr3CdCu8 was simulated for a wavelength of 1.5418 Å.
Neutral-atom scattering factors, no anomalous dispersion.

Crystal structure
```
Pr3CdCu8
1.0
2.6513 1.5307 8.6914
-2.6513 1.5307 8.6914
0.0000 -3.0615 8.6914
Pr Cd Cu
3 1 8
direct
0.0000 0.0000 0.0000 Pr
0.1255 0.1255 0.1255 Pr
0.5100 0.5100 0.5100 Pr
0.6325 0.6325 0.6325 Cd
0.0621 0.5671 0.5671 Cu
0.0724 0.0724 0.5600 Cu
0.0724 0.5600 0.0724 Cu
0.3158 0.3158 0.3158 Cu
0.5600 0.0724 0.0724 Cu
0.5671 0.0621 0.5671 Cu
0.5671 0.5671 0.0621 Cu
0.8178 0.8178 0.8178 Cu
```

Principal peaks in the range 2θ = 10–80°, in order of rising 2θ:
d = 2.655 Å, rel. 71; d = 2.265 Å, rel. 100; d = 2.261 Å, rel. 34; d = 2.173 Å, rel. 6; d = 2.166 Å, rel. 22; d = 1.532 Å, rel. 19; d = 1.445 Å, rel. 22; d = 1.444 Å, rel. 15; d = 1.329 Å, rel. 14; d = 1.326 Å, rel. 16


Entry 3:
Starting from a GGA-PBE-relaxed structure, the PXRD pattern of Re2HgSe was simulated for a wavelength of 1.5418 Å.
Neutral-atom scattering factors, no anomalous dispersion.

Crystal structure
```
Re2HgSe
1.0
2.9594 0.0000 0.0000
0.0000 2.9678 0.0000
-1.2677 0.0000 8.5120
Re Hg Se
2 1 1
direct
0.0000 0.0000 0.0000 Re
0.4259 0.5000 0.8048 Re
0.6079 0.5000 0.2491 Hg
0.8201 0.0000 0.6082 Se
```

Principal peaks in the range 2θ = 10–80°, in order of rising 2θ:
d = 8.512 Å, rel. 100; d = 2.597 Å, rel. 23; d = 2.434 Å, rel. 99; d = 2.261 Å, rel. 47; d = 2.206 Å, rel. 40; d = 2.084 Å, rel. 55; d = 2.075 Å, rel. 41; d = 2.051 Å, rel. 27; d = 1.417 Å, rel. 18; d = 1.392 Å, rel. 18


Entry 4:
Starting from a GGA-PBE-relaxed structure, the PXRD pattern of Er3UHg3Te8 was simulated for a wavelength of 1.5418 Å.
Neutral-atom scattering factors, no anomalous dispersion.

Crystal structure
```
Er3UHg3Te8
1.0
7.4615 -4.3067 0.0000
7.4615 4.3067 0.0000
-4.9904 0.0000 8.3221
Er U Hg Te
3 1 3 8
direct
0.0000 0.0000 0.0000 Er
0.0000 0.5000 0.0000 Er
0.5000 0.0000 0.0000 Er
0.5000 0.5000 0.0000 U
0.0000 0.5000 0.5000 Hg
0.5000 0.0000 0.5000 Hg
0.5000 0.5000 0.5000 Hg
0.2376 0.2376 0.2121 Te
0.2458 0.7325 0.2104 Te
0.2675 0.2675 0.7895 Te
0.2675 0.7542 0.7896 Te
0.7325 0.2458 0.2104 Te
0.7325 0.7325 0.2105 Te
0.7542 0.2675 0.7896 Te
0.7624 0.7624 0.7879 Te
```

Principal peaks in the range 2θ = 10–80°, in order of rising 2θ:
d = 8.322 Å, rel. 8; d = 7.148 Å, rel. 10; d = 3.202 Å, rel. 100; d = 2.394 Å, rel. 40; d = 2.154 Å, rel. 35; d = 1.786 Å, rel. 13; d = 1.601 Å, rel. 11; d = 1.497 Å, rel. 10; d = 1.375 Å, rel. 11; d = 1.285 Å, rel. 7